Structure and computed PXRD pattern of RbCo3Te (the GGA-PBE geometry in Alexandria; Cu Kα (λ = 1.5418 Å)).

Structural model:
```
data_RbCo3Te
_symmetry_space_group_name_H-M 'P 1'
_symmetry_Int_Tables_number 1
_symmetry_space_group_name_Hall 'P 1'
_cell_length_a 4.878
_cell_length_b 4.878
_cell_length_c 4.878
_cell_angle_alpha 90.00
_cell_angle_beta 90.00
_cell_angle_gamma 90.00
loop_
_atom_site_label
_atom_site_type_symbol
_atom_site_fract_x
_atom_site_fract_y
_atom_site_fract_z
Rb1 Rb 0.000 0.000 0.000
Co1 Co 0.000 0.500 0.500
Co2 Co 0.500 0.000 0.500
Co3 Co 0.500 0.500 0.000
Te1 Te 0.500 0.500 0.500
```

Top 12 peaks for 2θ from 5° to 70°, in order of rising 2θ:
(hkl)	two_theta	I_rel
1 0 0	18.19	38
1 1 0	25.83	71
1 1 1	31.77	29
2 0 0	36.85	100
2 1 0	41.39	18
2 1 1	45.55	31
2 2 0	53.10	67
3 0 0	56.61	9
3 1 0	59.97	14
3 1 1	63.23	10
2 2 2	66.39	22
3 2 0	69.48	4

Structure and computed PXRD pattern of Rb4CoW2 (the GGA-PBE geometry in Alexandria; Cu Kα (λ = 1.5418 Å)).

Structural model:
```
data_Rb4CoW2
_symmetry_space_group_name_H-M 'P 1'
_symmetry_Int_Tables_number 1
_symmetry_space_group_name_Hall 'P 1'
_cell_length_a 7.126
_cell_length_b 7.126
_cell_length_c 16.445
_cell_angle_alpha 90.00
_cell_angle_beta 90.00
_cell_angle_gamma 90.00
loop_
_atom_site_label
_atom_site_type_symbol
_atom_site_fract_x
_atom_site_fract_y
_atom_site_fract_z
Rb1 Rb 0.000 0.000 0.204
Rb2 Rb 0.000 0.000 0.796
Rb3 Rb 0.000 0.500 0.000
Rb4 Rb 0.000 0.500 0.500
Rb5 Rb 0.500 0.000 0.000
Rb6 Rb 0.500 0.000 0.500
Rb7 Rb 0.500 0.500 0.296
Rb8 Rb 0.500 0.500 0.704
Co1 Co 0.000 0.000 0.000
Co2 Co 0.500 0.500 0.500
W1 W 0.000 0.000 0.436
W2 W 0.000 0.000 0.564
W3 W 0.500 0.500 0.064
W4 W 0.500 0.500 0.936
```

Top 12 peaks for 2θ from 5° to 70°, in order of rising 2θ:
(hkl)	two_theta	I_rel
0 0 2	10.76	67
1 0 1	13.54	64
1 1 0	17.60	69
1 0 3	20.44	22
2 0 0	24.99	100
2 0 2	27.28	32
2 1 1	28.53	23
1 0 5	29.92	32
2 2 0	35.63	40
1 1 6	37.34	28
2 1 5	39.37	30
4 2 0	57.87	21

Structure and computed PXRD pattern of Co5Re (the GGA-PBE geometry in Alexandria; Cu Kα (λ = 1.5418 Å)).

Structural model:
```
data_Co5Re
_symmetry_space_group_name_H-M 'P 1'
_symmetry_Int_Tables_number 1
_symmetry_space_group_name_Hall 'P 1'
_cell_length_a 9.226
_cell_length_b 2.585
_cell_length_c 5.977
_cell_angle_alpha 90.00
_cell_angle_beta 104.69
_cell_angle_gamma 90.00
loop_
_atom_site_label
_atom_site_type_symbol
_atom_site_fract_x
_atom_site_fract_y
_atom_site_fract_z
Co1 Co 0.000 0.000 0.000
Co2 Co 0.054 0.000 0.595
Co3 Co 0.171 0.500 0.331
Co4 Co 0.339 0.000 0.656
Co5 Co 0.393 0.000 0.275
Co6 Co 0.500 0.500 0.000
Co7 Co 0.554 0.500 0.595
Co8 Co 0.671 0.000 0.331
Co9 Co 0.839 0.500 0.656
Co10 Co 0.893 0.500 0.275
Re1 Re 0.222 0.500 0.935
Re2 Re 0.722 0.000 0.935
```

Top 12 peaks for 2θ from 5° to 70°, in order of rising 2θ:
(hkl)	two_theta	I_rel
0 0 1	15.32	26
2 0 0	19.90	15
2 0 -1	21.86	13
2 0 1	28.19	8
1 1 0	36.18	8
1 1 -1	38.44	7
1 1 1	40.55	25
2 0 2	41.29	15
4 0 -2	44.57	35
3 1 0	46.53	100
4 0 1	47.20	42
3 1 -3	61.81	14

What did the third record say?
Structure and computed PXRD pattern of Co5Re (the GGA-PBE geometry in Alexandria; Cu Kα (λ = 1.5418 Å)).

Structural model:
```
data_Co5Re
_symmetry_space_group_name_H-M 'P 1'
_symmetry_Int_Tables_number 1
_symmetry_space_group_name_Hall 'P 1'
_cell_length_a 9.226
_cell_length_b 2.585
_cell_length_c 5.977
_cell_angle_alpha 90.00
_cell_angle_beta 104.69
_cell_angle_gamma 90.00
loop_
_atom_site_label
_atom_site_type_symbol
_atom_site_fract_x
_atom_site_fract_y
_atom_site_fract_z
Co1 Co 0.000 0.000 0.000
Co2 Co 0.054 0.000 0.595
Co3 Co 0.171 0.500 0.331
Co4 Co 0.339 0.000 0.656
Co5 Co 0.393 0.000 0.275
Co6 Co 0.500 0.500 0.000
Co7 Co 0.554 0.500 0.595
Co8 Co 0.671 0.000 0.331
Co9 Co 0.839 0.500 0.656
Co10 Co 0.893 0.500 0.275
Re1 Re 0.222 0.500 0.935
Re2 Re 0.722 0.000 0.935
```

Top 12 peaks for 2θ from 5° to 70°, in order of rising 2θ:
(hkl)	two_theta	I_rel
0 0 1	15.32	26
2 0 0	19.90	15
2 0 -1	21.86	13
2 0 1	28.19	8
1 1 0	36.18	8
1 1 -1	38.44	7
1 1 1	40.55	25
2 0 2	41.29	15
4 0 -2	44.57	35
3 1 0	46.53	100
4 0 1	47.20	42
3 1 -3	61.81	14

What is the formula in the second record?
Rb4CoW2

Which formula does entry 3 have?
Co5Re